Entry 1:
Simulated powder X-ray diffraction pattern
Compound: Sc2Zn3AgAu2
Radiation: Cu Ka
Structure: a GGA-PBE-relaxed structure
Intensities are scaled so that the largest is 100.

Crystal structure
a = 4.6220 Å, b = 4.6220 Å, c = 6.5285 Å
α = 90.00°, β = 90.00°, γ = 90.00°
Element x y z (fractional)
Sc1 0.0000 0.5000 0.2458
Sc2 0.5000 0.0000 0.7542
Zn1 0.0000 0.0000 0.0000
Zn2 0.0000 0.5000 0.7518
Zn3 0.5000 0.0000 0.2482
Ag1 0.5000 0.5000 0.5000
Au1 0.0000 0.0000 0.5000
Au2 0.5000 0.5000 0.0000

Principal peaks in the range 15 to 90 degrees two-theta, by angle:
d_spacing, Position (°2θ), intensity
3.772, 23.58, 17
3.267, 27.30, 23
2.310, 38.99, 100
1.633, 56.32, 17
1.334, 70.62, 33
1.155, 83.74, 11

=====

Entry 2:
Simulated powder X-ray diffraction pattern
Compound: AgAuSe2
Radiation: Cu Ka
Structure: a GGA-PBE-relaxed structure
Intensities are scaled so that the largest is 100.

Crystal structure
a = 3.8939 Å, b = 3.8939 Å, c = 19.1430 Å
α = 90.00°, β = 90.00°, γ = 120.00°
Element x y z (fractional)
Ag1 0.0000 0.0000 0.0000
Ag2 0.3333 0.6667 0.6671
Ag3 0.6667 0.3333 0.3329
Au1 0.0000 0.0000 0.5000
Au2 0.3333 0.6667 0.1662
Au3 0.6667 0.3333 0.8338
Se1 0.0000 0.0000 0.2458
Se2 0.0000 0.0000 0.7542
Se3 0.3333 0.6667 0.4203
Se4 0.3333 0.6667 0.9133
Se5 0.6667 0.3333 0.0867
Se6 0.6667 0.3333 0.5797

Principal peaks in the range 15 to 90 degrees two-theta, by angle:
d_spacing, Position (°2θ), intensity
3.183, 28.03, 20
2.757, 32.48, 100
1.951, 46.54, 36
1.947, 46.65, 36
1.590, 57.99, 19
1.125, 86.55, 19

=====

Entry 3:
Simulated powder X-ray diffraction pattern
Compound: AgTe2AuSe2
Radiation: Cu Ka
Structure: a GGA-PBE-relaxed structure
Intensities are scaled so that the largest is 100.

Crystal structure
a = 8.8277 Å, b = 4.4071 Å, c = 9.8279 Å
α = 90.00°, β = 122.81°, γ = 90.00°
Element x y z (fractional)
Ag1 0.0000 0.0198 0.2500
Ag2 0.0000 0.9802 0.7500
Te1 0.3020 0.0970 0.0522
Te2 0.3020 0.9030 0.5522
Te3 0.6980 0.0970 0.4478
Te4 0.6980 0.9030 0.9478
Au1 0.5000 0.5000 0.0000
Au2 0.5000 0.5000 0.5000
Se1 0.2171 0.4495 0.2171
Se2 0.2171 0.5505 0.7171
Se3 0.7829 0.4495 0.2829
Se4 0.7829 0.5505 0.7829

Principal peaks in the range 15 to 90 degrees two-theta, by angle:
d_spacing, Position (°2θ), intensity
3.789, 23.48, 13
2.987, 29.91, 100
2.157, 41.89, 20
2.070, 43.74, 18
2.032, 44.60, 14
1.986, 45.68, 11

=====

Entry 4:
Simulated powder X-ray diffraction pattern
Compound: Sm2AgAu3
Radiation: Cu Ka
Structure: a GGA-PBE-relaxed structure
Intensities are scaled so that the largest is 100.

Crystal structure
a = 3.8165 Å, b = 3.8165 Å, c = 9.2548 Å
α = 90.00°, β = 90.00°, γ = 90.00°
Element x y z (fractional)
Sm1 0.0000 0.0000 0.0000
Sm2 0.5000 0.5000 0.4893
Ag1 0.5000 0.5000 0.8201
Au1 0.0000 0.0000 0.3296
Au2 0.0000 0.0000 0.6624
Au3 0.5000 0.5000 0.1531

Principal peaks in the range 15 to 90 degrees two-theta, by angle:
d_spacing, Position (°2θ), intensity
2.699, 33.20, 70
2.399, 37.49, 100
1.908, 47.66, 26
1.493, 62.16, 46
1.339, 70.29, 16
1.207, 79.40, 12

=====

Entry 5:
Simulated powder X-ray diffraction pattern
Compound: SrAgTe3Au
Radiation: Cu Ka
Structure: a GGA-PBE-relaxed structure
Intensities are scaled so that the largest is 100.

Crystal structure
a = 7.1114 Å, b = 7.1114 Å, c = 10.9933 Å
α = 90.00°, β = 90.00°, γ = 143.79°
Element x y z (fractional)
Sr1 0.2331 0.7669 0.7500
Sr2 0.7669 0.2331 0.2500
Ag1 0.4531 0.5469 0.2500
Ag2 0.5469 0.4531 0.7500
Te1 0.0755 0.9245 0.2500
Te2 0.3507 0.6493 0.0240
Te3 0.3507 0.6493 0.4760
Te4 0.6493 0.3507 0.5240
Te5 0.6493 0.3507 0.9760
Te6 0.9245 0.0755 0.7500
Au1 0.0000 0.0000 0.0000
Au2 0.0000 0.0000 0.5000

Principal peaks in the range 15 to 90 degrees two-theta, by angle:
d_spacing, Position (°2θ), intensity
3.155, 28.28, 36
3.033, 29.45, 49
2.748, 32.58, 53
2.737, 32.73, 100
2.210, 40.84, 33
2.085, 43.41, 32

=====

Entry 6:
Simulated powder X-ray diffraction pattern
Compound: TbAg6Au
Radiation: Cu Ka
Structure: a GGA-PBE-relaxed structure
Intensities are scaled so that the largest is 100.

Crystal structure
a = 4.9200 Å, b = 6.0058 Å, c = 5.1600 Å
α = 90.00°, β = 90.00°, γ = 90.00°
Element x y z (fractional)
Tb1 0.0000 0.0000 0.0000
Ag1 0.0000 0.2637 0.4994
Ag2 0.0000 0.5000 0.9982
Ag3 0.0000 0.7363 0.4994
Ag4 0.5000 0.0000 0.6504
Ag5 0.5000 0.2596 0.1781
Ag6 0.5000 0.7404 0.1781
Au1 0.5000 0.5000 0.6869

Principal peaks in the range 15 to 90 degrees two-theta, by angle:
d_spacing, Position (°2θ), intensity
2.595, 34.56, 27
2.460, 36.53, 43
2.296, 39.25, 100
2.285, 39.44, 54
1.386, 67.57, 19
1.276, 74.34, 19

=====

Entry 7:
Simulated powder X-ray diffraction pattern
Compound: Tb2Ag3Au
Radiation: Cu Ka
Structure: a GGA-PBE-relaxed structure
Intensities are scaled so that the largest is 100.

Crystal structure
a = 3.7450 Å, b = 3.7450 Å, c = 9.1651 Å
α = 90.00°, β = 90.00°, γ = 90.00°
Element x y z (fractional)
Tb1 0.0000 0.0000 0.0000
Tb2 0.5000 0.5000 0.4903
Ag1 0.0000 0.0000 0.3274
Ag2 0.0000 0.0000 0.6648
Ag3 0.5000 0.5000 0.8203
Au1 0.5000 0.5000 0.1566

Principal peaks in the range 15 to 90 degrees two-theta, by angle:
d_spacing, Position (°2θ), intensity
2.648, 33.85, 69
2.367, 38.01, 100
1.872, 48.62, 25
1.469, 63.33, 44
1.323, 71.25, 23
1.184, 81.26, 22

=====

Entry 8:
Simulated powder X-ray diffraction pattern
Compound: Ag3Te2Au
Radiation: Cu Ka
Structure: a GGA-PBE-relaxed structure
Intensities are scaled so that the largest is 100.

Crystal structure
a = 9.0484 Å, b = 9.0484 Å, c = 9.0484 Å
α = 109.47°, β = 109.47°, γ = 109.47°
Element x y z (fractional)
Ag1 0.1396 0.7500 0.8896
Ag2 0.1396 0.8896 0.2500
Ag3 0.2500 0.1396 0.8896
Ag4 0.2500 0.6104 0.3604
Ag5 0.3604 0.2500 0.6104
Ag6 0.3604 0.6104 0.7500
Ag7 0.6104 0.3604 0.2500
Ag8 0.6104 0.7500 0.3604
Ag9 0.7500 0.3604 0.6104
Ag10 0.7500 0.8896 0.1396
Ag11 0.8896 0.1396 0.7500
Ag12 0.8896 0.2500 0.1396
Te1 0.0000 0.5443 0.5000
Te2 0.0000 0.9557 0.5000
Te3 0.5000 0.0000 0.5443
Te4 0.5000 0.0000 0.9557
Te5 0.5443 0.5000 0.0000
Te6 0.5443 0.5443 0.5443
Te7 0.9557 0.5000 0.0000
Te8 0.9557 0.9557 0.9557
Au1 0.0000 0.2500 0.5000
Au2 0.2500 0.2500 0.2500
Au3 0.2500 0.5000 0.0000
Au4 0.5000 0.0000 0.2500

Principal peaks in the range 15 to 90 degrees two-theta, by angle:
d_spacing, Position (°2θ), intensity
2.792, 32.05, 100
2.463, 36.49, 28
2.336, 38.53, 28
2.133, 42.38, 41
2.049, 44.20, 41
1.327, 71.04, 28